This entry pairs a crystal structure of PuAuO4 with its simulated powder diffraction line list. Radiation: Cu Kα (weighted mean of Kα1 and Kα2). Structure: a structure optimized by DFT (PBE).
Intensities are scaled so that the largest is 100.

Atomic structure:
Cell lengths 5.989, 9.977, 8.210 Å; angles 90.00, 112.20, 90.00 degrees
Fractional positions:
Pu  0.219  0.081  0.447
Pu  0.219  0.419  0.947
Pu  0.781  0.581  0.053
Pu  0.781  0.919  0.553
Au  0.458  0.108  0.864
Au  0.458  0.392  0.364
Au  0.542  0.608  0.636
Au  0.542  0.892  0.136
O  0.007  0.644  0.257
O  0.007  0.856  0.757
O  0.063  0.589  0.915
O  0.063  0.911  0.415
O  0.373  0.245  0.010
O  0.373  0.255  0.510
O  0.493  0.002  0.662
O  0.493  0.498  0.162
O  0.507  0.502  0.838
O  0.507  0.998  0.338
O  0.627  0.745  0.490
O  0.627  0.755  0.990
O  0.937  0.089  0.585
O  0.937  0.411  0.085
O  0.993  0.144  0.243
O  0.993  0.356  0.743

Most intense lines, 10° ≤ 2θ ≤ 90°, by angle:
14.65°, 6.047 Å, I = 42
17.78°, 4.988 Å, I = 29
18.30°, 4.847 Å, I = 46
23.89°, 3.725 Å, I = 100
24.83°, 3.585 Å, I = 29
25.07°, 3.552 Å, I = 31
31.19°, 2.867 Å, I = 65
31.36°, 2.852 Å, I = 35
35.88°, 2.503 Å, I = 35
39.58°, 2.277 Å, I = 27

=====

This entry pairs a crystal structure of TmPuAuO6 with its simulated powder diffraction line list. Radiation: Cu Kα (weighted mean of Kα1 and Kα2). Structure: a structure optimized by DFT (PBE).
Intensities are scaled so that the largest is 100.

Atomic structure:
Cell lengths 5.703, 5.703, 9.078 Å; angles 90.00, 90.00, 120.00 degrees
Fractional positions:
Tm  0.333  0.667  0.250
Tm  0.667  0.333  0.750
Pu  0.333  0.667  0.750
Pu  0.667  0.333  0.250
Au  0.000  0.000  0.000
Au  0.000  0.000  0.500
O  0.028  0.370  0.632
O  0.028  0.658  0.868
O  0.342  0.370  0.868
O  0.342  0.972  0.632
O  0.370  0.028  0.132
O  0.370  0.342  0.368
O  0.630  0.658  0.632
O  0.630  0.972  0.868
O  0.658  0.028  0.368
O  0.658  0.630  0.132
O  0.972  0.342  0.132
O  0.972  0.630  0.368

Most intense lines, 10° ≤ 2θ ≤ 90°, by angle:
26.67°, 3.342 Å, I = 100
31.37°, 2.851 Å, I = 63
37.24°, 2.414 Å, I = 12
41.64°, 2.169 Å, I = 31
51.46°, 1.776 Å, I = 44
53.05°, 1.726 Å, I = 31
55.85°, 1.646 Å, I = 19
70.69°, 1.333 Å, I = 12
72.02°, 1.311 Å, I = 13
79.37°, 1.207 Å, I = 12

=====

This entry pairs a crystal structure of Rb11AuO5 with its simulated powder diffraction line list. Radiation: Cu Kα (weighted mean of Kα1 and Kα2). Structure: a structure optimized by DFT (PBE).
Intensities are scaled so that the largest is 100.

Atomic structure:
Cell lengths 8.901, 8.901, 8.964 Å; angles 101.13, 101.13, 113.35 degrees
Fractional positions:
Rb  0.000  0.000  0.000
Rb  0.119  0.701  0.149
Rb  0.165  0.414  0.460
Rb  0.299  0.881  0.851
Rb  0.388  0.388  0.169
Rb  0.414  0.165  0.460
Rb  0.586  0.835  0.540
Rb  0.612  0.612  0.831
Rb  0.701  0.119  0.149
Rb  0.835  0.586  0.540
Rb  0.881  0.299  0.851
Au  0.000  0.000  0.500
O  0.060  0.361  0.152
O  0.361  0.060  0.152
O  0.500  0.500  0.500
O  0.639  0.940  0.848
O  0.940  0.639  0.848

Most intense lines, 10° ≤ 2θ ≤ 90°, by angle:
15.92°, 5.566 Å, I = 32
24.53°, 3.629 Å, I = 40
25.22°, 3.531 Å, I = 41
26.17°, 3.406 Å, I = 56
26.92°, 3.312 Å, I = 100
30.44°, 2.937 Å, I = 43
30.98°, 2.886 Å, I = 69
31.99°, 2.798 Å, I = 51
32.88°, 2.724 Å, I = 31
41.72°, 2.165 Å, I = 42

=====

This entry pairs a crystal structure of Rb8Au3O with its simulated powder diffraction line list. Radiation: Cu Kα (weighted mean of Kα1 and Kα2). Structure: a structure optimized by DFT (PBE).
Intensities are scaled so that the largest is 100.

Atomic structure:
Cell lengths 8.405, 8.405, 9.795 Å; angles 90.00, 90.00, 108.82 degrees
Fractional positions:
Rb  0.203  0.206  0.205
Rb  0.205  0.795  0.000
Rb  0.206  0.203  0.795
Rb  0.261  0.739  0.500
Rb  0.739  0.261  0.500
Rb  0.794  0.797  0.795
Rb  0.795  0.205  0.000
Rb  0.797  0.794  0.205
Au  0.000  0.000  0.500
Au  0.000  0.500  0.248
Au  0.500  0.000  0.752
O  0.000  0.000  0.000

Most intense lines, 10° ≤ 2θ ≤ 90°, by angle:
11.12°, 7.955 Å, I = 57
14.34°, 6.175 Å, I = 85
23.37°, 3.806 Å, I = 43
25.74°, 3.461 Å, I = 100
26.08°, 3.417 Å, I = 48
29.59°, 3.019 Å, I = 38
35.05°, 2.560 Å, I = 41
36.72°, 2.447 Å, I = 33
36.97°, 2.432 Å, I = 64
45.59°, 1.990 Å, I = 29

=====

This entry pairs a crystal structure of Rb12Au3O4 with its simulated powder diffraction line list. Radiation: Cu Kα (weighted mean of Kα1 and Kα2). Structure: a structure optimized by DFT (PBE).
Intensities are scaled so that the largest is 100.

Atomic structure:
Cell lengths 9.756, 9.756, 9.756 Å; angles 109.47, 109.47, 109.47 degrees
Fractional positions:
Rb  0.030  0.761  0.269
Rb  0.239  0.269  0.508
Rb  0.239  0.731  0.970
Rb  0.269  0.030  0.761
Rb  0.269  0.508  0.239
Rb  0.492  0.761  0.731
Rb  0.508  0.239  0.269
Rb  0.731  0.492  0.761
Rb  0.731  0.970  0.239
Rb  0.761  0.269  0.030
Rb  0.761  0.731  0.492
Rb  0.970  0.239  0.731
Au  0.000  0.500  0.500
Au  0.500  0.000  0.500
Au  0.500  0.500  0.000
O  0.000  0.000  0.500
O  0.000  0.500  0.000
O  0.500  0.000  0.000
O  0.500  0.500  0.500

Most intense lines, 10° ≤ 2θ ≤ 90°, by angle:
11.11°, 7.966 Å, I = 23
27.43°, 3.252 Å, I = 100
29.67°, 3.011 Å, I = 12
31.77°, 2.816 Å, I = 60
45.55°, 1.991 Å, I = 41
53.99°, 1.698 Å, I = 40
56.61°, 1.626 Å, I = 13
73.25°, 1.292 Å, I = 15
75.48°, 1.259 Å, I = 15
84.21°, 1.150 Å, I = 11

=====

This entry pairs a crystal structure of Rb7AuO2 with its simulated powder diffraction line list. Radiation: Cu Kα (weighted mean of Kα1 and Kα2). Structure: a structure optimized by DFT (PBE).
Intensities are scaled so that the largest is 100.

Atomic structure:
Cell lengths 8.734, 8.734, 5.594 Å; angles 90.00, 90.00, 109.33 degrees
Fractional positions:
Rb  0.000  0.000  0.000
Rb  0.184  0.467  0.000
Rb  0.201  0.799  0.500
Rb  0.467  0.184  0.000
Rb  0.533  0.816  0.000
Rb  0.799  0.201  0.500
Rb  0.816  0.533  0.000
Au  0.500  0.500  0.500
O  0.209  0.791  0.000
O  0.791  0.209  0.000

Most intense lines, 10° ≤ 2θ ≤ 90°, by angle:
10.73°, 8.242 Å, I = 26
23.73°, 3.749 Å, I = 44
26.14°, 3.409 Å, I = 100
29.73°, 3.005 Å, I = 27
30.71°, 2.911 Å, I = 34
31.64°, 2.828 Å, I = 44
32.00°, 2.797 Å, I = 36
32.60°, 2.747 Å, I = 34
46.32°, 1.960 Å, I = 25
55.22°, 1.663 Å, I = 24

=====

This entry pairs a crystal structure of Rb2SmAuO4 with its simulated powder diffraction line list. Radiation: Cu Kα (weighted mean of Kα1 and Kα2). Structure: a structure optimized by DFT (PBE).
Intensities are scaled so that the largest is 100.

Atomic structure:
Cell lengths 13.975, 12.301, 8.003 Å; angles 84.15, 61.12, 34.73 degrees
Fractional positions:
Rb  0.068  0.068  0.682
Rb  0.318  0.318  0.932
Rb  0.682  0.682  0.068
Rb  0.932  0.932  0.318
Sm  0.125  0.125  0.125
Sm  0.875  0.875  0.875
Au  0.375  0.375  0.375
Au  0.625  0.625  0.625
O  0.044  0.703  0.509
O  0.244  0.509  0.703
O  0.297  0.956  0.756
O  0.491  0.756  0.956
O  0.509  0.244  0.044
O  0.703  0.044  0.244
O  0.756  0.491  0.297
O  0.956  0.297  0.491

Most intense lines, 10° ≤ 2θ ≤ 90°, by angle:
14.17°, 6.251 Å, I = 63
14.91°, 5.943 Å, I = 100
18.92°, 4.690 Å, I = 25
24.22°, 3.675 Å, I = 40
25.55°, 3.487 Å, I = 74
28.56°, 3.126 Å, I = 22
30.74°, 2.909 Å, I = 45
34.32°, 2.613 Å, I = 33
39.85°, 2.262 Å, I = 25
44.13°, 2.052 Å, I = 32

=====

This entry pairs a crystal structure of RbSrAuO2 with its simulated powder diffraction line list. Radiation: Cu Kα (weighted mean of Kα1 and Kα2). Structure: a structure optimized by DFT (PBE).
Intensities are scaled so that the largest is 100.

Atomic structure:
Cell lengths 7.851, 7.851, 5.726 Å; angles 90.00, 90.00, 123.70 degrees
Fractional positions:
Rb  0.250  0.750  0.934
Rb  0.750  0.250  0.066
Sr  0.250  0.250  0.500
Sr  0.750  0.750  0.500
Au  0.000  0.000  0.000
Au  0.500  0.500  0.000
O  0.082  0.918  0.703
O  0.418  0.582  0.703
O  0.582  0.418  0.297
O  0.918  0.082  0.297

Most intense lines, 10° ≤ 2θ ≤ 90°, by angle:
12.79°, 6.922 Å, I = 100
15.48°, 5.726 Å, I = 43
24.02°, 3.704 Å, I = 27
25.74°, 3.461 Å, I = 55
28.70°, 3.110 Å, I = 83
31.24°, 2.863 Å, I = 27
31.54°, 2.837 Å, I = 42
38.93°, 2.313 Å, I = 84
40.91°, 2.206 Å, I = 33
49.18°, 1.853 Å, I = 27